FeSiO4: calculated powder diffractogram (CuKα), based on a PBE+U-relaxed structure.
Kinematic intensities with the Lorentz-polarization factor, no thermal factor.

Cell and atoms:
Cell lengths 7.241, 5.360, 11.481 Å; angles 90.00, 125.36, 90.00 degrees
Sites, in units of the cell vectors:
Fe 0.209 0.183 0.451
Fe 0.209 0.317 0.951
Fe 0.791 0.683 0.049
Fe 0.791 0.817 0.549
Si 0.288 0.689 0.321
Si 0.288 0.811 0.821
Si 0.712 0.189 0.179
Si 0.712 0.311 0.679
O 0.100 0.734 0.148
O 0.100 0.766 0.648
O 0.226 0.648 0.914
O 0.226 0.852 0.414
O 0.282 0.106 0.856
O 0.282 0.394 0.356
O 0.459 0.235 0.636
O 0.459 0.265 0.136
O 0.541 0.735 0.864
O 0.541 0.765 0.364
O 0.718 0.606 0.644
O 0.718 0.894 0.144
O 0.774 0.148 0.586
O 0.774 0.352 0.086
O 0.900 0.234 0.352
O 0.900 0.266 0.852

Peak list (10 most intense, 10° ≤ 2θ ≤ 90°, sorted by position)
d_spacing	2θ/deg	intensity
5.552	15.96	47.6
4.681	18.96	6.4
4.652	19.08	8.1
3.856	23.06	100.0
2.953	30.27	23.2
2.934	30.47	22.7
2.811	31.84	11.6
2.776	32.25	9.1
2.680	33.44	19.5
2.145	42.12	7.4

***

Fe2SiO4: calculated powder diffractogram (CuKα), based on a PBE+U-relaxed structure.
Kinematic intensities with the Lorentz-polarization factor, no thermal factor.

Cell and atoms:
Cell lengths 5.890, 5.890, 5.890 Å; angles 119.91, 119.91, 90.15 degrees
Sites, in units of the cell vectors:
Fe 0.000 0.000 0.000
Fe 0.000 0.000 0.500
Fe 0.000 0.500 0.000
Fe 0.500 0.000 0.500
Si 0.375 0.625 0.750
Si 0.625 0.375 0.250
O 0.259 0.278 0.519
O 0.259 0.741 0.519
O 0.259 0.741 0.981
O 0.278 0.259 0.019
O 0.722 0.741 0.981
O 0.741 0.259 0.019
O 0.741 0.259 0.481
O 0.741 0.722 0.481

Peak list (10 most intense, 10° ≤ 2θ ≤ 90°, sorted by position)
d_spacing	2θ/deg	intensity
4.812	18.44	27.7
2.946	30.34	10.6
2.513	35.73	100.0
2.406	37.38	12.9
2.085	43.39	32.3
2.080	43.51	16.0
1.912	47.56	14.4
1.604	57.43	21.0
1.473	63.11	50.4
1.271	74.69	9.8